For LiCo2OF3, a structure optimized by DFT (PBE+U) gives the computed X-ray powder pattern in this record (Cu Kα X-rays).

Atomic structure:
```
data_LiCo2OF3
_cell_length_a 6.2105
_cell_length_b 5.9948
_cell_length_c 8.7359
_cell_angle_alpha 90.00
_cell_angle_beta 90.00
_cell_angle_gamma 90.00
_space_group_name_H-M_alt 'P n m a'
_space_group_IT_number 62
loop_
_space_group_symop_operation_xyz
'x,y,z'
'-x,-y,-z'
'-x+1/2,-y,z+1/2'
'x+1/2,y,-z+1/2'
'x+1/2,-y+1/2,-z+1/2'
'-x+1/2,y+1/2,z+1/2'
'-x,y+1/2,-z'
'x,-y+1/2,z'
loop_
_atom_site_label
_atom_site_type_symbol
_atom_site_fract_x
_atom_site_fract_y
_atom_site_fract_z
_atom_site_occupancy
Li1 Li 0.0263 0.2500 0.1054 1
Co1 Co 0.0000 0.0000 0.5000 1
Co2 Co 0.2362 0.7500 0.2643 1
O1 O 0.2052 0.7500 0.4871 1
F1 F 0.0138 0.0096 0.7537 1
F2 F 0.2444 0.7500 0.0247 1
```

Top 10 peaks for 15° ≤ 2θ ≤ 90°, low angle first:
d [Å]	Rel. int.	(hkl)
5.062	93	1 0 1
4.943	100	0 1 1
2.632	61	1 0 3
2.579	32	1 2 1
2.184	44	0 0 4
2.157	88	2 2 0
1.980	14	1 2 3
1.650	13	2 3 1
1.535	52	2 2 4
1.499	13	0 4 0